Theoretical powder XRD pattern
Compound: Cd2As
Radiation: λ = 1.5418 Å (Cu Kα)
Structure: a PBE-relaxed structure
Lines closer than 0.1° are merged.

Most intense lines, 10 to 90 degrees two-theta, most intense first:
- hkl 1 1 0, 2θ 34.8, I = 100
- hkl 0 1 3, 2θ 35.1, I = 97
- hkl 1 0 3, 2θ 40.0, I = 67
- hkl 1 2 3, 2θ 59.2, I = 41
- hkl 0 2 0, 2θ 41.7, I = 30
- hkl 2 1 3, 2θ 69.1, I = 25
- hkl 1 1 6, 2θ 69.7, I = 24
- hkl 1 3 0, 2θ 71.7, I = 11
- hkl 2 0 0, 2θ 57.4, I = 11
- hkl 0 3 3, 2θ 71.9, I = 11
- hkl 0 0 6, 2θ 58.3, I = 11
- hkl 2 2 0, 2θ 73.4, I = 11

Structural model:
Unit cell a=3.212 b=4.331 c=9.490 alpha=90.00 beta=90.00 gamma=90.00
Space group Immm (No. 71)
Unique sites:
Cd (0.000, 0.000, 0.164) x4
As (0.000, 0.000, 0.500) x2